Entry 1:
Structure and theoretical X-ray powder pattern of SrAcCo (a cell relaxed with GGA-PBE; CuKα).
Lines closer than 0.1° are merged.

Crystal structure
abc: 5.137 5.137 5.137
angles: 60.00 60.00 60.00
Positions (direct):
Sr 0.000 0.000 0.000
Ac 0.500 0.500 0.500
Co 0.750 0.750 0.750

Largest 10 diffraction maxima, most intense first, 2θ from 10° to 80°:
- 34.93 deg, I = 100
- 24.51 deg, I = 54
- 62.65 deg, I = 37
- 21.18 deg, I = 35
- 56.66 deg, I = 23
- 41.21 deg, I = 20
- 50.23 deg, I = 18
- 43.14 deg, I = 17
- 79.09 deg, I = 11
- 73.78 deg, I = 11

Entry 2:
Structure and theoretical X-ray powder pattern of AcCuSb2 (a cell relaxed with GGA-PBE; CuKα).
Lines closer than 0.1° are merged.

Crystal structure
abc: 4.500 4.500 10.633
angles: 90.00 90.00 90.00
Positions (direct):
Ac 0.250 0.250 0.248
Ac 0.750 0.750 0.752
Cu 0.250 0.750 0.000
Cu 0.750 0.250 0.000
Sb 0.250 0.250 0.862
Sb 0.250 0.750 0.500
Sb 0.750 0.250 0.500
Sb 0.750 0.750 0.138

Largest 10 diffraction maxima, most intense first, 2θ from 10° to 80°:
- 32.80 deg, I = 100
- 32.15 deg, I = 45
- 40.07 deg, I = 44
- 21.44 deg, I = 24
- 68.22 deg, I = 24
- 52.27 deg, I = 23
- 47.27 deg, I = 22
- 63.66 deg, I = 18
- 57.96 deg, I = 15
- 25.94 deg, I = 13

Entry 3:
Structure and theoretical X-ray powder pattern of Ac2CuSi3 (a cell relaxed with GGA-PBE; CuKα).
Lines closer than 0.1° are merged.

Crystal structure
abc: 4.201 4.619 7.149
angles: 90.00 90.00 90.00
Positions (direct):
Ac 0.000 0.000 0.000
Ac 0.500 0.000 0.492
Cu 0.000 0.500 0.668
Si 0.000 0.500 0.335
Si 0.500 0.500 0.159
Si 0.500 0.500 0.822

Largest 10 diffraction maxima, most intense first, 2θ from 10° to 80°:
- 31.39 deg, I = 100
- 31.65 deg, I = 50
- 24.58 deg, I = 45
- 43.67 deg, I = 27
- 19.21 deg, I = 23
- 54.42 deg, I = 22
- 24.91 deg, I = 21
- 59.97 deg, I = 21
- 39.00 deg, I = 18
- 46.64 deg, I = 17

Entry 4:
Structure and theoretical X-ray powder pattern of AcDyHo3 (a cell relaxed with GGA-PBE; CuKα).
Lines closer than 0.1° are merged.

Crystal structure
abc: 8.290 8.290 8.290
angles: 122.76 122.76 85.28
Positions (direct):
Ac 0.000 0.000 0.000
Ac 0.500 0.500 0.000
Dy 0.250 0.750 0.500
Dy 0.750 0.250 0.500
Ho 0.154 0.654 0.808
Ho 0.250 0.250 0.000
Ho 0.346 0.154 0.500
Ho 0.654 0.846 0.500
Ho 0.750 0.750 0.000
Ho 0.846 0.346 0.192

Largest 10 diffraction maxima, most intense first, 2θ from 10° to 80°:
- 29.29 deg, I = 100
- 22.39 deg, I = 94
- 26.13 deg, I = 89
- 38.78 deg, I = 80
- 31.87 deg, I = 73
- 43.83 deg, I = 61
- 60.31 deg, I = 56
- 33.50 deg, I = 52
- 37.18 deg, I = 52
- 35.75 deg, I = 51

Entry 5:
Structure and theoretical X-ray powder pattern of Ac4Er4O11 (a cell relaxed with GGA-PBE; CuKα).
Lines closer than 0.1° are merged.

Crystal structure
abc: 5.985 8.518 6.114
angles: 90.00 90.10 90.00
Positions (direct):
Ac 0.000 0.000 0.000
Ac 0.014 0.500 0.071
Ac 0.476 0.500 0.594
Ac 0.519 0.000 0.504
Er 0.007 0.248 0.544
Er 0.007 0.752 0.544
Er 0.510 0.249 0.049
Er 0.510 0.751 0.049
O 0.118 0.000 0.592
O 0.209 0.301 0.849
O 0.209 0.699 0.849
O 0.313 0.303 0.351
O 0.313 0.697 0.351
O 0.401 0.000 0.094
O 0.611 0.500 0.004
O 0.712 0.190 0.750
O 0.712 0.810 0.750
O 0.813 0.194 0.247
O 0.813 0.806 0.247

Largest 10 diffraction maxima, most intense first, 2θ from 10° to 80°:
- 29.60 deg, I = 100
- 29.86 deg, I = 23
- 29.21 deg, I = 22
- 52.79 deg, I = 22
- 42.27 deg, I = 20
- 52.04 deg, I = 17
- 61.45 deg, I = 13
- 42.45 deg, I = 12
- 52.87 deg, I = 11
- 52.36 deg, I = 10

Entry 6:
Structure and theoretical X-ray powder pattern of AcErTe3 (a cell relaxed with GGA-PBE; CuKα).
Lines closer than 0.1° are merged.

Crystal structure
abc: 7.488 7.488 11.007
angles: 90.00 90.00 145.44
Positions (direct):
Ac 0.249 0.751 0.750
Ac 0.751 0.249 0.250
Er 0.500 0.500 0.000
Er 0.500 0.500 0.500
Te 0.143 0.857 0.057
Te 0.143 0.857 0.443
Te 0.421 0.579 0.250
Te 0.579 0.421 0.750
Te 0.857 0.143 0.557
Te 0.857 0.143 0.943

Largest 10 diffraction maxima, most intense first, 2θ from 10° to 80°:
- 28.62 deg, I = 100
- 27.43 deg, I = 63
- 20.36 deg, I = 59
- 32.24 deg, I = 56
- 31.97 deg, I = 53
- 41.28 deg, I = 50
- 59.28 deg, I = 43
- 27.32 deg, I = 40
- 40.56 deg, I = 39
- 32.54 deg, I = 37